(1)
The following is a calculated powder XRD pattern of NdDy2Er5. It was derived from a DFT-relaxed cell (PBE, Alexandria), using Cu Kα X-rays.

Principal peaks in the range 10° ≤ 2θ ≤ 80°, in order of rising 2θ:
2θ/deg  Rel. int.
28.6  24
31.8  24
32.8  100
43.3  16
50.6  20
57.3  20
61.0  23
61.6  16

Structural model:
Lattice parameters (Å, degrees): 6.253 6.683 12.199 84.77 89.97 89.94
Fractional positions:
Nd (0.168, 0.436, 0.189)
Nd (0.832, 0.564, 0.811)
Dy (0.167, 0.186, 0.937)
Dy (0.335, 0.691, 0.936)
Dy (0.665, 0.309, 0.064)
Dy (0.833, 0.814, 0.063)
Er (0.166, 0.941, 0.685)
Er (0.168, 0.687, 0.439)
Er (0.332, 0.438, 0.685)
Er (0.334, 0.185, 0.438)
Er (0.335, 0.936, 0.190)
Er (0.665, 0.064, 0.810)
Er (0.666, 0.815, 0.562)
Er (0.668, 0.562, 0.315)
Er (0.832, 0.313, 0.561)
Er (0.834, 0.059, 0.315)

---

(2)
The following is a calculated powder XRD pattern of P2SeS2. It was derived from a DFT-relaxed cell (PBE, Alexandria), using Cu Kα X-rays.

Principal peaks in the range 10° ≤ 2θ ≤ 80°, in order of rising 2θ:
2θ/deg  Rel. int.
15.2  65
20.5  31
21.1  100
22.8  53
32.8  57
41.8  34
46.5  40
60.2  22

Structural model:
Lattice parameters (Å, degrees): 9.692 9.692 9.692 142.76 142.76 53.69
Fractional positions:
P (0.242, 0.000, 0.242)
P (0.750, 0.008, 0.258)
P (0.750, 0.492, 0.742)
P (0.758, 0.000, 0.758)
Se (0.400, 0.900, 0.500)
Se (0.650, 0.650, 0.000)
S (0.486, 0.227, 0.259)
S (0.969, 0.227, 0.741)
S (0.977, 0.219, 0.241)
S (0.977, 0.736, 0.759)

---

(3)
The following is a calculated powder XRD pattern of AcTb2Te4. It was derived from a DFT-relaxed cell (PBE, Alexandria), using Cu Kα X-rays.

Principal peaks in the range 10° ≤ 2θ ≤ 80°, in order of rising 2θ:
2θ/deg  Rel. int.
21.5  56
26.6  50
28.0  100
29.8  89
36.4  64
39.1  28
40.6  54
41.6  47

Structural model:
Lattice parameters (Å, degrees): 7.543 7.543 15.133 90.00 90.00 145.70
Fractional positions:
Ac (0.120, 0.880, 0.750)
Ac (0.880, 0.120, 0.250)
Tb (0.370, 0.630, 0.563)
Tb (0.370, 0.630, 0.937)
Tb (0.630, 0.370, 0.063)
Tb (0.630, 0.370, 0.437)
Te (0.000, 0.000, 0.000)
Te (0.000, 0.000, 0.500)
Te (0.271, 0.729, 0.119)
Te (0.271, 0.729, 0.381)
Te (0.449, 0.551, 0.750)
Te (0.551, 0.449, 0.250)
Te (0.729, 0.271, 0.619)
Te (0.729, 0.271, 0.881)

---

(4)
The following is a calculated powder XRD pattern of Co2Rh2W. It was derived from a DFT-relaxed cell (PBE, Alexandria), using Cu Kα X-rays.

Principal peaks in the range 10° ≤ 2θ ≤ 80°, in order of rising 2θ:
2θ/deg  Rel. int.
25.3  14
32.9  25
36.0  25
40.4  100
41.9  39
43.9  76
53.1  40
77.4  21

Structural model:
Lattice parameters (Å, degrees): 7.054 7.054 2.721 90.00 90.00 90.00
Fractional positions:
Co (0.168, 0.332, 0.000)
Co (0.332, 0.832, 0.000)
Co (0.668, 0.168, 0.000)
Co (0.832, 0.668, 0.000)
Rh (0.130, 0.630, 0.500)
Rh (0.370, 0.130, 0.500)
Rh (0.630, 0.870, 0.500)
Rh (0.870, 0.370, 0.500)
W (0.000, 0.000, 0.500)
W (0.500, 0.500, 0.500)

---

(5)
The following is a calculated powder XRD pattern of LaPmO3. It was derived from a DFT-relaxed cell (PBE, Alexandria), using Cu Kα X-rays.

Principal peaks in the range 10° ≤ 2θ ≤ 80°, in order of rising 2θ:
2θ/deg  Rel. int.
20.2  24
27.1  100
30.2  93
41.0  39
44.1  46
51.8  38
53.6  27
56.7  17

Structural model:
Lattice parameters (Å, degrees): 6.649 6.649 6.649 52.87 52.87 52.87
Fractional positions:
La (0.143, 0.143, 0.143)
La (0.857, 0.857, 0.857)
Pm (0.353, 0.353, 0.353)
Pm (0.647, 0.647, 0.647)
O (0.045, 0.464, 0.739)
O (0.261, 0.536, 0.955)
O (0.464, 0.739, 0.045)
O (0.536, 0.955, 0.261)
O (0.739, 0.045, 0.464)
O (0.955, 0.261, 0.536)

---

(6)
The following is a calculated powder XRD pattern of LaSi7Ir3. It was derived from a DFT-relaxed cell (PBE, Alexandria), using Cu Kα X-rays.

Principal peaks in the range 10° ≤ 2θ ≤ 80°, in order of rising 2θ:
2θ/deg  Rel. int.
26.6  100
35.2  36
40.5  37
46.4  35
48.9  21
49.1  27
65.5  17
69.5  18

Structural model:
Lattice parameters (Å, degrees): 8.134 8.134 8.134 56.59 56.59 56.59
Fractional positions:
La (0.000, 0.000, 0.000)
La (0.500, 0.500, 0.500)
Si (0.063, 0.851, 0.673)
Si (0.149, 0.327, 0.937)
Si (0.173, 0.351, 0.563)
Si (0.250, 0.250, 0.250)
Si (0.327, 0.937, 0.149)
Si (0.351, 0.563, 0.173)
Si (0.437, 0.827, 0.649)
Si (0.563, 0.173, 0.351)
Si (0.649, 0.437, 0.827)
Si (0.673, 0.063, 0.851)
Si (0.750, 0.750, 0.750)
Si (0.827, 0.649, 0.437)
Si (0.851, 0.673, 0.063)
Si (0.937, 0.149, 0.327)
Ir (0.067, 0.750, 0.433)
Ir (0.250, 0.567, 0.933)
Ir (0.433, 0.067, 0.750)
Ir (0.567, 0.933, 0.250)
Ir (0.750, 0.433, 0.067)
Ir (0.933, 0.250, 0.567)

---

(7)
The following is a calculated powder XRD pattern of Ho3Al3Ga. It was derived from a DFT-relaxed cell (PBE, Alexandria), using Cu Kα X-rays.

Principal peaks in the range 10° ≤ 2θ ≤ 80°, in order of rising 2θ:
2θ/deg  Rel. int.
24.2  61
33.2  100
33.9  60
38.2  39
40.4  25
49.6  20
53.8  32
66.6  20

Structural model:
Lattice parameters (Å, degrees): 10.137 10.137 10.137 159.48 154.58 32.88
Fractional positions:
Ho (0.000, 0.000, 0.000)
Ho (0.390, 0.390, 0.000)
Ho (0.696, 0.196, 0.500)
Al (0.129, 0.629, 0.500)
Al (0.556, 0.556, 0.000)
Al (0.835, 0.835, 0.000)
Ga (0.261, 0.761, 0.500)

---

(8)
The following is a calculated powder XRD pattern of MnAl6Fe5. It was derived from a DFT-relaxed cell (PBE, Alexandria), using Cu Kα X-rays.

Principal peaks in the range 10° ≤ 2θ ≤ 80°, in order of rising 2θ:
2θ/deg  Rel. int.
30.8  8
31.0  15
44.3  100
44.5  20
55.1  3
64.2  6
64.7  12
73.4  3

Structural model:
Lattice parameters (Å, degrees): 6.450 6.450 5.803 90.00 90.00 143.23
Fractional positions:
Mn (0.000, 0.000, 0.000)
Al (0.171, 0.829, 0.255)
Al (0.171, 0.829, 0.745)
Al (0.500, 0.500, 0.262)
Al (0.500, 0.500, 0.738)
Al (0.829, 0.171, 0.255)
Al (0.829, 0.171, 0.745)
Fe (0.000, 0.000, 0.500)
Fe (0.335, 0.665, 0.500)
Fe (0.339, 0.661, 0.000)
Fe (0.661, 0.339, 0.000)
Fe (0.665, 0.335, 0.500)

---

(9)
The following is a calculated powder XRD pattern of Ce2PmThSb4. It was derived from a DFT-relaxed cell (PBE, Alexandria), using Cu Kα X-rays.

Principal peaks in the range 10° ≤ 2θ ≤ 80°, in order of rising 2θ:
2θ/deg  Rel. int.
28.0  100
40.0  39
40.1  38
49.7  21
57.9  13
65.4  18
65.7  18
72.8  13

Structural model:
Lattice parameters (Å, degrees): 7.780 4.498 7.825 90.00 109.39 90.00
Fractional positions:
Ce (0.000, 0.000, 0.000)
Ce (0.500, 0.500, 0.000)
Pm (0.000, 0.500, 0.500)
Th (0.500, 0.000, 0.500)
Sb (0.249, 0.500, 0.250)
Sb (0.250, 0.000, 0.750)
Sb (0.750, 0.000, 0.250)
Sb (0.751, 0.500, 0.750)

---

(10)
The following is a calculated powder XRD pattern of ErZrTlRh. It was derived from a DFT-relaxed cell (PBE, Alexandria), using Cu Kα X-rays.

Principal peaks in the range 10° ≤ 2θ ≤ 80°, in order of rising 2θ:
2θ/deg  Rel. int.
21.9  10
36.2  100
42.7  6
52.1  18
57.2  3
65.1  36
69.5  2
76.8  11

Structural model:
Lattice parameters (Å, degrees): 4.967 4.967 4.967 60.00 60.00 60.00
Fractional positions:
Er (0.000, 0.000, 0.000)
Zr (0.500, 0.500, 0.500)
Tl (0.750, 0.750, 0.750)
Rh (0.250, 0.250, 0.250)

---

(11)
The following is a calculated powder XRD pattern of Rb2PPdS4. It was derived from a DFT-relaxed cell (PBE, Alexandria), using Cu Kα X-rays.

Principal peaks in the range 10° ≤ 2θ ≤ 80°, in order of rising 2θ:
2θ/deg  Rel. int.
15.5  50
25.2  57
27.1  100
27.5  70
31.4  59
31.8  90
36.9  56
46.6  43

Structural model:
Lattice parameters (Å, degrees): 13.158 11.880 7.218 83.27 63.72 33.01
Fractional positions:
Rb (0.051, 0.051, 0.699)
Rb (0.301, 0.301, 0.949)
Rb (0.699, 0.699, 0.051)
Rb (0.949, 0.949, 0.301)
P (0.375, 0.375, 0.375)
P (0.625, 0.625, 0.625)
Pd (0.125, 0.125, 0.125)
Pd (0.875, 0.875, 0.875)
S (0.034, 0.620, 0.532)
S (0.314, 0.532, 0.620)
S (0.380, 0.966, 0.686)
S (0.468, 0.686, 0.966)
S (0.532, 0.314, 0.034)
S (0.620, 0.034, 0.314)
S (0.686, 0.468, 0.380)
S (0.966, 0.380, 0.468)

---

(12)
The following is a calculated powder XRD pattern of CaCd8Pt4. It was derived from a DFT-relaxed cell (PBE, Alexandria), using Cu Kα X-rays.

Principal peaks in the range 10° ≤ 2θ ≤ 80°, in order of rising 2θ:
2θ/deg  Rel. int.
18.5  68
36.4  66
37.2  35
37.5  59
41.1  100
42.1  50
66.9  24
70.1  19

Structural model:
Lattice parameters (Å, degrees): 7.375 7.375 7.375 98.74 98.74 134.12
Fractional positions:
Ca (0.000, 0.000, 0.000)
Cd (0.000, 0.335, 0.335)
Cd (0.000, 0.665, 0.665)
Cd (0.280, 0.500, 0.780)
Cd (0.335, 0.000, 0.335)
Cd (0.500, 0.280, 0.780)
Cd (0.500, 0.720, 0.220)
Cd (0.665, 0.000, 0.665)
Cd (0.720, 0.500, 0.220)
Pt (0.000, 0.000, 0.500)
Pt (0.000, 0.500, 0.000)
Pt (0.500, 0.000, 0.000)
Pt (0.500, 0.500, 0.500)

---

(13)
The following is a calculated powder XRD pattern of Sr3Ni6As5. It was derived from a DFT-relaxed cell (PBE, Alexandria), using Cu Kα X-rays.

Principal peaks in the range 10° ≤ 2θ ≤ 80°, in order of rising 2θ:
2θ/deg  Rel. int.
16.9  46
33.5  58
34.0  85
35.5  100
43.7  57
45.1  52
57.4  35
62.0  38

Structural model:
Lattice parameters (Å, degrees): 4.019 12.435 10.504 90.00 90.00 90.00
Fractional positions:
Sr (0.250, 0.083, 0.249)
Sr (0.250, 0.417, 0.249)
Sr (0.250, 0.750, 0.252)
Sr (0.750, 0.250, 0.748)
Sr (0.750, 0.583, 0.751)
Sr (0.750, 0.917, 0.751)
Ni (0.250, 0.055, 0.556)
Ni (0.250, 0.250, 0.499)
Ni (0.250, 0.250, 0.993)
Ni (0.250, 0.445, 0.556)
Ni (0.250, 0.582, 0.001)
Ni (0.250, 0.918, 0.001)
Ni (0.750, 0.082, 0.999)
Ni (0.750, 0.418, 0.999)
Ni (0.750, 0.555, 0.444)
Ni (0.750, 0.750, 0.007)
Ni (0.750, 0.750, 0.501)
Ni (0.750, 0.945, 0.444)
As (0.250, 0.082, 0.880)
As (0.250, 0.418, 0.880)
As (0.250, 0.630, 0.521)
As (0.250, 0.750, 0.889)
As (0.250, 0.870, 0.521)
As (0.750, 0.130, 0.479)
As (0.750, 0.250, 0.111)
As (0.750, 0.370, 0.479)
As (0.750, 0.582, 0.120)
As (0.750, 0.918, 0.120)